# 1
# La2Tb4Tm
Theoretical powder X-ray diffraction pattern, Cu Kα. Input: a crystal structure in Alexandria, relaxed with PBE.
Neutral-atom scattering factors, no anomalous dispersion.

Structure:
```
La2Tb4Tm
1.0
7.2124 0.0000 0.0000
-1.7872 7.8475 0.0000
-0.0155 -3.2982 8.1966
La Tb Tm
4 8 2
direct
0.0000 0.0000 0.0000
0.0705 0.2874 0.4314
0.5688 0.2852 0.4304
0.7114 0.8511 0.2841
0.2115 0.8514 0.2850
0.3548 0.4286 0.1391
0.4261 0.7187 0.5775
0.4973 0.9976 0.9976
0.6391 0.5674 0.8560
0.7837 0.1429 0.7173
0.8562 0.4277 0.1397
0.9294 0.7168 0.5765
0.1419 0.5681 0.8571
0.2852 0.1429 0.7176
```

Peak list (10 most intense, 2θ = 10–80°, by intensity)
| 2θ (°) | I_rel |
| --- | --- |
| 30.3 | 100 |
| 30.4 | 100 |
| 35.2 | 67 |
| 60.2 | 57 |
| 50.6 | 48 |
| 35.2 | 34 |
| 60.3 | 28 |
| 50.7 | 24 |
| 63.1 | 19 |
| 74.4 | 8 |

=====

# 2
# Pr7Dy6Tm16
Theoretical powder X-ray diffraction pattern, Cu Kα. Input: a crystal structure in Alexandria, relaxed with PBE.
Neutral-atom scattering factors, no anomalous dispersion.

Structure:
```
Pr7Dy6Tm16
1.0
0.0000 7.9104 7.9104
7.9104 0.0000 7.9104
7.9104 7.9104 0.0000
Pr Dy Tm
7 6 16
direct
0.0000 0.0000 0.0000
0.0000 0.0000 0.5000
0.0000 0.5000 0.0000
0.0000 0.5000 0.5000
0.5000 0.0000 0.0000
0.5000 0.0000 0.5000
0.5000 0.5000 0.0000
0.2537 0.2537 0.7463
0.2537 0.7463 0.2537
0.2537 0.7463 0.7463
0.7463 0.2537 0.2537
0.7463 0.2537 0.7463
0.7463 0.7463 0.2537
0.0531 0.6490 0.6490
0.1302 0.1302 0.1302
0.1302 0.1302 0.6094
0.1302 0.6094 0.1302
0.3510 0.3510 0.3510
0.3510 0.3510 0.9469
0.3510 0.9469 0.3510
0.3906 0.8698 0.8698
0.6094 0.1302 0.1302
0.6490 0.0531 0.6490
0.6490 0.6490 0.0531
0.6490 0.6490 0.6490
0.8698 0.3906 0.8698
0.8698 0.8698 0.3906
0.8698 0.8698 0.8698
0.9469 0.3510 0.3510
```

Peak list (10 most intense, 2θ = 10–80°, by intensity)
| 2θ (°) | I_rel |
| --- | --- |
| 32.0 | 100 |
| 57.0 | 28 |
| 45.9 | 15 |
| 76.1 | 8 |
| 66.9 | 8 |
| 25.2 | 7 |
| 34.0 | 6 |
| 27.6 | 5 |
| 63.3 | 5 |
| 33.5 | 5 |